Theoretical X-ray powder pattern
Compound: DyFe4Cu3O12
Radiation: copper Kα
Structure: DFT lattice parameters and positions (PBE+U)
No peak broadening, texture or thermal motion is included.

Atomic structure:
```
data_DyFe4Cu3O12
_space_group_name_H-M_alt 'I m -3'
_space_group_IT_number 204
_space_group_name_Hall '-I 2 2 3'
_cell_length_a 7.456
_cell_length_b 7.456
_cell_length_c 7.456
_cell_angle_alpha 90.00
_cell_angle_beta 90.00
_cell_angle_gamma 90.00
loop_
_atom_site_label
_atom_site_type_symbol
_atom_site_fract_x
_atom_site_fract_y
_atom_site_fract_z
Dy1 Dy 0.000 0.000 0.000
Fe1 Fe 0.250 0.250 0.250
Cu1 Cu 0.000 0.000 0.500
O1 O 0.000 0.164 0.308
```

Main lines, sorted by position (2θ from 10° to 80°):
| two_theta | I (rel.) | (hkl) |
| --- | --- | --- |
| 16.8 | 15 | 1 1 0 |
| 23.9 | 5 | 2 0 0 |
| 29.3 | 4 | 2 1 1 |
| 34.0 | 100 | 2 2 0 |
| 38.2 | 10 | 3 1 0 |
| 42.0 | 5 | 2 2 2 |
| 45.5 | 10 | 3 2 1 |
| 48.9 | 24 | 4 0 0 |
| 60.9 | 47 | 4 2 2 |
| 63.6 | 3 | 4 1 3 |
| 71.6 | 11 | 4 4 0 |
| 79.2 | 3 | 5 3 2 |